No. 1
Starting from a DFT-relaxed cell (PBE, Alexandria), the powder diffractogram of PrNdI4 was calculated for Cu Kα (λ = 1.5418 Å).

Largest 10 diffraction maxima, low angle first, 15 to 90 degrees two-theta:
2theta	Rel. int.
15.8	37
24.7	20
26.1	36
28.3	100
29.3	42
38.9	25
40.5	38
41.2	66
50.7	36
74.1	23

Cell and atoms:
```
data_PrNdI4
_space_group_name_H-M_alt 'I -4 m 2'
_space_group_IT_number 119
_space_group_name_Hall 'I -4 -2'
_cell_length_a 6.305
_cell_length_b 6.305
_cell_length_c 12.186
_cell_angle_alpha 90.00
_cell_angle_beta 90.00
_cell_angle_gamma 90.00
loop_
_atom_site_label
_atom_site_type_symbol
_atom_site_fract_x
_atom_site_fract_y
_atom_site_fract_z
_atom_site_occupancy
Pr1 Pr 0.000 0.000 0.000 1
Nd1 Nd 0.000 0.500 0.250 1
I1 I 0.000 0.000 0.266 1
I2 I 0.000 0.500 0.514 1
```

No. 2
Starting from a DFT-relaxed cell (PBE, Alexandria), the powder diffractogram of Dy5Tl4H was calculated for Cu Kα (λ = 1.5418 Å).

Largest 10 diffraction maxima, low angle first, 15 to 90 degrees two-theta:
2theta	Rel. int.
29.6	25
31.2	39
32.2	100
37.5	23
40.2	20
43.5	18
51.7	19
56.1	21
61.3	18
70.6	10

Cell and atoms:
```
data_Dy5Tl4H
_space_group_name_H-M_alt 'I 4'
_space_group_IT_number 79
_space_group_name_Hall 'I 4'
_cell_length_a 9.528
_cell_length_b 9.528
_cell_length_c 5.742
_cell_angle_alpha 90.00
_cell_angle_beta 90.00
_cell_angle_gamma 90.00
loop_
_atom_site_label
_atom_site_type_symbol
_atom_site_fract_x
_atom_site_fract_y
_atom_site_fract_z
_atom_site_occupancy
Dy1 Dy 0.000 0.000 0.000 1
Dy2 Dy 0.132 0.211 0.501 1
Tl1 Tl 0.036 0.335 0.999 1
H1 H 0.000 0.000 0.396 1
```

No. 3
Starting from a DFT-relaxed cell (PBE, Alexandria), the powder diffractogram of B4Se was calculated for Cu Kα (λ = 1.5418 Å).

Largest 10 diffraction maxima, low angle first, 15 to 90 degrees two-theta:
2theta	Rel. int.
22.1	100
31.4	81
38.8	11
45.1	27
50.7	41
56.0	30
65.6	17
70.2	19
74.6	13
87.4	9

Cell and atoms:
```
data_B4Se
_space_group_name_H-M_alt 'P m -3 m'
_space_group_IT_number 221
_space_group_name_Hall '-P 4 2 3'
_cell_length_a 4.023
_cell_length_b 4.023
_cell_length_c 4.023
_cell_angle_alpha 90.00
_cell_angle_beta 90.00
_cell_angle_gamma 90.00
loop_
_atom_site_label
_atom_site_type_symbol
_atom_site_fract_x
_atom_site_fract_y
_atom_site_fract_z
_atom_site_occupancy
B1 B 0.000 0.000 0.000 1
B2 B 0.000 0.500 0.500 1
Se1 Se 0.500 0.500 0.500 1
```

No. 4
Starting from a DFT-relaxed cell (PBE, Alexandria), the powder diffractogram of Pm4AlZn was calculated for Cu Kα (λ = 1.5418 Å).

Largest 10 diffraction maxima, low angle first, 15 to 90 degrees two-theta:
2theta	Rel. int.
25.0	32
25.1	32
28.9	28
32.4	100
32.5	100
34.1	100
45.3	33
56.8	25
59.9	37
60.2	34

Cell and atoms:
```
data_Pm4AlZn
_space_group_name_H-M_alt 'C 1 2/m 1'
_space_group_IT_number 12
_space_group_name_Hall '-C 2y'
_cell_length_a 12.901
_cell_length_b 3.701
_cell_length_c 7.455
_cell_angle_alpha 90.00
_cell_angle_beta 106.78
_cell_angle_gamma 90.00
loop_
_atom_site_label
_atom_site_type_symbol
_atom_site_fract_x
_atom_site_fract_y
_atom_site_fract_z
_atom_site_occupancy
Pm1 Pm 0.143 0.000 0.325 1
Pm2 Pm 0.147 0.000 0.820 1
Al1 Al 0.000 0.500 0.000 1
Zn1 Zn 0.000 0.500 0.500 1
```

No. 5
Starting from a DFT-relaxed cell (PBE, Alexandria), the powder diffractogram of KSn2Pd3 was calculated for Cu Kα (λ = 1.5418 Å).

Largest 10 diffraction maxima, low angle first, 15 to 90 degrees two-theta:
2theta	Rel. int.
20.0	29
29.3	35
31.0	87
34.9	52
35.5	31
38.6	86
40.6	30
40.8	100
42.7	71
50.4	45

Cell and atoms:
```
data_KSn2Pd3
_space_group_name_H-M_alt 'C 1 2/m 1'
_space_group_IT_number 12
_space_group_name_Hall '-C 2y'
_cell_length_a 16.805
_cell_length_b 4.661
_cell_length_c 8.205
_cell_angle_alpha 90.00
_cell_angle_beta 115.32
_cell_angle_gamma 90.00
loop_
_atom_site_label
_atom_site_type_symbol
_atom_site_fract_x
_atom_site_fract_y
_atom_site_fract_z
_atom_site_occupancy
K1 K 0.167 0.000 0.091 1
Sn1 Sn 0.019 0.500 0.198 1
Sn2 Sn 0.160 0.000 0.598 1
Pd1 Pd 0.002 0.000 0.673 1
Pd2 Pd 0.093 0.500 0.646 1
Pd3 Pd 0.190 0.500 0.442 1
```

No. 6
Starting from a DFT-relaxed cell (PBE, Alexandria), the powder diffractogram of Sr2GaSbO6 was calculated for Cu Kα (λ = 1.5418 Å).

Largest 10 diffraction maxima, low angle first, 15 to 90 degrees two-theta:
2theta	Rel. int.
31.6	20
31.7	100
45.4	26
45.6	13
56.4	17
56.6	24
56.6	8
66.3	18
75.3	7
75.5	7

Cell and atoms:
```
data_Sr2GaSbO6
_space_group_name_H-M_alt 'P 1 21/c 1'
_space_group_IT_number 14
_space_group_name_Hall '-P 2ybc'
_cell_length_a 5.663
_cell_length_b 5.633
_cell_length_c 9.770
_cell_angle_alpha 90.00
_cell_angle_beta 125.43
_cell_angle_gamma 90.00
loop_
_atom_site_label
_atom_site_type_symbol
_atom_site_fract_x
_atom_site_fract_y
_atom_site_fract_z
_atom_site_occupancy
Sr1 Sr 0.247 0.015 0.250 1
Ga1 Ga 0.500 0.000 0.000 1
Sb1 Sb 0.000 0.000 0.500 1
O1 O 0.200 0.230 0.971 1
O2 O 0.241 0.729 0.971 1
O3 O 0.304 0.006 0.750 1
```

No. 7
Starting from a DFT-relaxed cell (PBE, Alexandria), the powder diffractogram of Dy8YSb6 was calculated for Cu Kα (λ = 1.5418 Å).

Largest 10 diffraction maxima, low angle first, 15 to 90 degrees two-theta:
2theta	Rel. int.
25.9	37
27.2	67
27.4	53
31.7	100
32.9	48
37.9	77
41.6	26
45.3	41
54.0	21
70.5	30

Cell and atoms:
```
data_Dy8YSb6
_space_group_name_H-M_alt 'P -3'
_space_group_IT_number 147
_space_group_name_Hall '-P 3'
_cell_length_a 11.3419
_cell_length_b 11.3419
_cell_length_c 4.3400
_cell_angle_alpha 90.00
_cell_angle_beta 90.00
_cell_angle_gamma 120.00
loop_
_atom_site_label
_atom_site_type_symbol
_atom_site_fract_x
_atom_site_fract_y
_atom_site_fract_z
_atom_site_occupancy
Dy1 Dy 0.0408 0.3309 0.2618 1
Dy2 Dy 0.3333 0.6667 0.7407 1
Y1 Y 0.0000 0.0000 0.0000 1
Sb1 Sb 0.1295 0.6483 0.2402 1
```

No. 8
Starting from a DFT-relaxed cell (PBE, Alexandria), the powder diffractogram of Li3BiS3 was calculated for Cu Kα (λ = 1.5418 Å).

Largest 10 diffraction maxima, low angle first, 15 to 90 degrees two-theta:
2theta	Rel. int.
16.1	74
20.8	100
23.0	33
29.8	62
31.3	50
33.6	49
33.9	42
34.3	34
36.9	42
49.8	42

Cell and atoms:
```
data_Li3BiS3
_space_group_name_H-M_alt 'P 1 21/c 1'
_space_group_IT_number 14
_space_group_name_Hall '-P 2ybc'
_cell_length_a 3.979
_cell_length_b 12.407
_cell_length_c 12.158
_cell_angle_alpha 90.00
_cell_angle_beta 103.67
_cell_angle_gamma 90.00
loop_
_atom_site_label
_atom_site_type_symbol
_atom_site_fract_x
_atom_site_fract_y
_atom_site_fract_z
_atom_site_occupancy
Li1 Li 0.026 0.221 0.025 1
Li2 Li 0.278 0.035 0.396 1
Li3 Li 0.362 0.544 0.383 1
Bi1 Bi 0.368 0.703 0.753 1
S1 S 0.203 0.092 0.592 1
S2 S 0.221 0.127 0.212 1
S3 S 0.446 0.145 0.930 1
```

No. 9
Starting from a DFT-relaxed cell (PBE, Alexandria), the powder diffractogram of MgCr2Ni2 was calculated for Cu Kα (λ = 1.5418 Å).

Largest 10 diffraction maxima, low angle first, 15 to 90 degrees two-theta:
2theta	Rel. int.
17.7	59
35.8	29
40.2	32
43.2	69
45.2	100
46.1	43
53.2	37
65.0	11
76.5	12
77.9	21

Cell and atoms:
```
data_MgCr2Ni2
_space_group_name_H-M_alt 'P 4/m b m'
_space_group_IT_number 127
_space_group_name_Hall '-P 4 2ab'
_cell_length_a 7.098
_cell_length_b 7.098
_cell_length_c 2.591
_cell_angle_alpha 90.00
_cell_angle_beta 90.00
_cell_angle_gamma 90.00
loop_
_atom_site_label
_atom_site_type_symbol
_atom_site_fract_x
_atom_site_fract_y
_atom_site_fract_z
_atom_site_occupancy
Mg1 Mg 0.000 0.000 0.000 1
Cr1 Cr 0.100 0.400 0.000 1
Ni1 Ni 0.191 0.691 0.500 1
```

No. 10
Starting from a DFT-relaxed cell (PBE, Alexandria), the powder diffractogram of DyAl3Ga4 was calculated for Cu Kα (λ = 1.5418 Å).

Largest 10 diffraction maxima, low angle first, 15 to 90 degrees two-theta:
2theta	Rel. int.
23.1	54
27.1	95
29.2	40
32.2	93
36.9	68
38.6	44
39.4	68
40.4	39
42.4	100
48.4	37

Cell and atoms:
```
data_DyAl3Ga4
_space_group_name_H-M_alt 'I m m m'
_space_group_IT_number 71
_space_group_name_Hall '-I 2 2'
_cell_length_a 3.381
_cell_length_b 6.790
_cell_length_c 14.002
_cell_angle_alpha 90.00
_cell_angle_beta 90.00
_cell_angle_gamma 90.00
loop_
_atom_site_label
_atom_site_type_symbol
_atom_site_fract_x
_atom_site_fract_y
_atom_site_fract_z
_atom_site_occupancy
Dy1 Dy 0.000 0.000 0.000 1
Al1 Al 0.000 0.000 0.500 1
Al2 Al 0.000 0.500 0.315 1
Ga1 Ga 0.000 0.310 0.146 1
```

No. 11
Starting from a DFT-relaxed cell (PBE, Alexandria), the powder diffractogram of Th5C2Se5 was calculated for Cu Kα (λ = 1.5418 Å).

Largest 10 diffraction maxima, low angle first, 15 to 90 degrees two-theta:
2theta	Rel. int.
23.9	50
24.5	48
29.9	100
30.4	24
31.8	43
35.5	47
39.0	24
44.1	23
45.5	33
46.8	23

Cell and atoms:
```
data_Th5C2Se5
_space_group_name_H-M_alt 'C 1 2/m 1'
_space_group_IT_number 12
_space_group_name_Hall '-C 2y'
_cell_length_a 13.626
_cell_length_b 3.984
_cell_length_c 11.366
_cell_angle_alpha 90.00
_cell_angle_beta 106.11
_cell_angle_gamma 90.00
loop_
_atom_site_label
_atom_site_type_symbol
_atom_site_fract_x
_atom_site_fract_y
_atom_site_fract_z
_atom_site_occupancy
Th1 Th 0.000 0.000 0.000 1
Th2 Th 0.097 0.000 0.374 1
Th3 Th 0.153 0.500 0.796 1
C1 C 0.044 0.000 0.799 1
Se1 Se 0.000 0.500 0.500 1
Se2 Se 0.169 0.500 0.065 1
Se3 Se 0.241 0.000 0.637 1
```